Record 1
# TmPaIrRh
Calculated powder X-ray diffraction pattern, λ = 1.5418 Å (Cu Kα). Input: the PBE geometry in Alexandria.
Neutral-atom scattering factors, no anomalous dispersion.

Principal peaks in the range 2θ = 10–90°, most intense first:
d/Å  intensity
2.714  100
2.188  53
2.614  32
2.119  25
1.877  18
1.646  16
2.554  16
2.225  16
1.405  14
1.238  13

Structure:
```
4
Lattice="4.2379 0.0000 0.0000 0.0000 1.8767 5.2288 0.0000 -1.8767 5.2288" Properties=species:S:1:pos:R:3 pbc="T T T"
Tm 0.0000 0.0000 0.0000
Pa 2.1190 0.0000 7.5209
Ir 0.0000 0.0000 2.8301
Rh 2.1190 0.0000 4.8332
```


Record 2
# PaIrRu2
Calculated powder X-ray diffraction pattern, λ = 1.5418 Å (Cu Kα). Input: the PBE geometry in Alexandria.
Neutral-atom scattering factors, no anomalous dispersion.

Principal peaks in the range 2θ = 10–90°, most intense first:
d/Å  intensity
2.342  100
2.021  32
1.220  25
1.437  22
2.043  17
1.230  13
1.171  11
1.429  11
4.041  8
2.874  7

Structure:
```
8
Lattice="-2.8561 4.0869 2.8590 2.8561 -4.0869 2.8590 2.8561 4.0869 -2.8590" Properties=species:S:1:pos:R:3 pbc="T T T"
Pa 0.0000 0.0000 0.0000
Pa 0.0000 4.0869 0.0000
Ir -1.4281 2.0434 1.4295
Ir 1.4281 2.0434 1.4295
Ru 1.4281 2.0434 -1.4295
Ru 1.4281 -2.0434 1.4295
Ru 2.8561 0.0000 0.0000
Ru 0.0000 0.0000 2.8590
```


Record 3
# Sc2Pa2SiIr4
Calculated powder X-ray diffraction pattern, λ = 1.5418 Å (Cu Kα). Input: the PBE geometry in Alexandria.
Neutral-atom scattering factors, no anomalous dispersion.

Principal peaks in the range 2θ = 10–90°, most intense first:
d/Å  intensity
2.543  100
2.261  40
1.353  28
1.538  22
3.076  18
2.099  15
4.521  14
1.598  14
1.272  12
1.282  10

Structure:
```
9
Lattice="-3.1969 3.1969 4.1977 3.1969 -3.1969 4.1977 3.1969 3.1969 -4.1977" Properties=species:S:1:pos:R:3 pbc="T T T"
Sc 0.0000 0.0000 1.6159
Sc 0.0000 0.0000 6.7795
Pa 3.1969 0.0000 2.0988
Pa 0.0000 3.1969 2.0988
Si 0.0000 0.0000 4.1977
Ir 1.5478 1.5478 0.0000
Ir 1.6491 -1.6491 4.1977
Ir -1.6491 1.6491 4.1977
Ir 1.6491 1.6491 4.1977
```


Record 4
# PaSi4Ir6
Calculated powder X-ray diffraction pattern, λ = 1.5418 Å (Cu Kα). Input: the PBE geometry in Alexandria.
Neutral-atom scattering factors, no anomalous dispersion.

Principal peaks in the range 2θ = 10–90°, most intense first:
d/Å  intensity
2.391  100
3.044  24
3.263  20
2.301  19
1.757  18
1.932  17
1.313  16
2.029  14
1.977  14
1.300  14

Structure:
```
11
Lattice="7.0289 0.0000 0.0000 -3.5145 6.0872 0.0000 0.0000 0.0000 3.8645" Properties=species:S:1:pos:R:3 pbc="T T T"
Pa 0.0000 0.0000 0.0000
Si 0.0000 4.0581 0.0000
Si 2.1148 1.2209 1.9323
Si 4.9142 1.2209 1.9323
Si 3.5145 3.6453 1.9323
Ir 0.0000 2.3643 1.9323
Ir -1.4669 4.9051 1.9323
Ir 3.5145 0.3795 0.0000
Ir 2.0858 2.8539 0.0000
Ir 1.4669 4.9051 1.9323
Ir 4.9431 2.8539 0.0000
```


Record 5
# ThPaSi2Ir5
Calculated powder X-ray diffraction pattern, λ = 1.5418 Å (Cu Kα). Input: the PBE geometry in Alexandria.
Neutral-atom scattering factors, no anomalous dispersion.

Principal peaks in the range 2θ = 10–90°, most intense first:
d/Å  intensity
2.544  100
2.023  48
3.708  46
1.994  31
2.771  31
1.776  24
1.367  22
1.247  22
2.265  22
1.756  21

Structure:
```
9
Lattice="4.0465 0.0000 0.0000 0.0000 4.0465 0.0000 0.0000 0.0000 11.1230" Properties=species:S:1:pos:R:3 pbc="T T T"
Th 0.0000 0.0000 0.0000
Pa 0.0000 0.0000 5.5615
Si 2.0232 2.0232 2.3592
Si 2.0232 2.0232 8.7638
Ir 0.0000 2.0232 3.5682
Ir 0.0000 2.0232 7.5549
Ir 2.0232 0.0000 3.5682
Ir 2.0232 0.0000 7.5549
Ir 2.0232 2.0232 0.0000
```


Record 6
# Pa2VSi3Ir4
Calculated powder X-ray diffraction pattern, λ = 1.5418 Å (Cu Kα). Input: the PBE geometry in Alexandria.
Neutral-atom scattering factors, no anomalous dispersion.

Principal peaks in the range 2θ = 10–90°, most intense first:
d/Å  intensity
2.511  100
2.608  60
2.042  54
2.778  37
1.821  30
1.608  28
1.252  23
1.359  23
3.184  21
3.390  18

Structure:
```
10
Lattice="4.0833 0.0000 0.0000 0.0000 4.0833 0.0000 0.0000 0.0000 10.1710" Properties=species:S:1:pos:R:3 pbc="T T T"
Pa 0.0000 2.0416 2.5313
Pa 2.0416 0.0000 7.6398
V 0.0000 0.0000 5.0855
Si 0.0000 2.0416 8.8381
Si 2.0416 0.0000 1.3329
Si 2.0416 2.0416 5.0855
Ir 0.0000 0.0000 0.0000
Ir 0.0000 2.0416 6.4543
Ir 2.0416 0.0000 3.7168
Ir 2.0416 2.0416 0.0000
```


Record 7
# YPaSi2Ir5
Calculated powder X-ray diffraction pattern, λ = 1.5418 Å (Cu Kα). Input: the PBE geometry in Alexandria.
Neutral-atom scattering factors, no anomalous dispersion.

Principal peaks in the range 2θ = 10–90°, most intense first:
d/Å  intensity
2.527  100
2.000  52
3.746  47
2.258  45
3.769  38
1.765  33
1.994  31
1.367  25
2.743  24
1.258  22

Structure:
```
9
Lattice="4.0009 0.0000 0.0000 0.0000 4.0009 0.0000 0.0000 0.0000 11.2381" Properties=species:S:1:pos:R:3 pbc="T T T"
Y 0.0000 0.0000 0.0000
Pa 0.0000 0.0000 5.6191
Si 2.0005 2.0005 2.3308
Si 2.0005 2.0005 8.9073
Ir 0.0000 2.0005 3.6226
Ir 0.0000 2.0005 7.6155
Ir 2.0005 0.0000 3.6226
Ir 2.0005 0.0000 7.6155
Ir 2.0005 2.0005 0.0000
```


Record 8
# PaSnIr
Calculated powder X-ray diffraction pattern, λ = 1.5418 Å (Cu Kα). Input: the PBE geometry in Alexandria.
Neutral-atom scattering factors, no anomalous dispersion.

Principal peaks in the range 2θ = 10–90°, most intense first:
d/Å  intensity
2.747  100
2.561  59
2.505  53
2.314  46
2.694  39
2.176  37
1.951  37
2.262  24
1.423  23
1.453  21

Structure:
```
18
Lattice="13.5729 0.0000 0.0000 0.0000 3.9026 0.0000 0.0000 0.0000 7.4448" Properties=species:S:1:pos:R:3 pbc="T T T"
Pa 0.6583 0.0000 1.6765
Pa 3.3932 0.0000 6.2038
Pa 6.1281 0.0000 1.6765
Pa 7.4448 0.0000 5.7684
Pa 10.1796 0.0000 1.2411
Pa 12.9145 0.0000 5.7684
Sn 1.6054 1.9513 4.1115
Sn 3.3932 1.9513 1.3515
Sn 5.1810 1.9513 4.1115
Sn 8.3919 1.9513 3.3334
Sn 10.1796 1.9513 6.0934
Sn 11.9674 1.9513 3.3334
Ir 1.3144 1.9513 6.8851
Ir 3.3932 0.0000 3.2772
Ir 5.4720 1.9513 6.8851
Ir 8.1009 1.9513 0.5598
Ir 10.1796 0.0000 4.1676
Ir 12.2584 1.9513 0.5598
```